[1]
SrPrRh: calculated powder diffractogram (Cu Kα X-rays), based on the GGA-PBE geometry in Alexandria.
Peak positions follow from Bragg's law for the DFT cell and can differ from measured ones.

Most intense lines, 2θ from 10° to 90°, sorted by position:
| two_theta | Rel. int. |
| --- | --- |
| 13.9 | 483 |
| 25.6 | 322 |
| 30.3 | 1000 |
| 30.5 | 495 |
| 42.0 | 617 |
| 45.1 | 306 |

Structural model:
Cell lengths 6.8342, 8.6103, 7.4539 Å; angles 90.00, 110.93, 90.00 degrees
Fractional positions:
Sr 0.2413 0.1281 0.4847
Sr 0.2413 0.3719 0.9847
Sr 0.7587 0.6281 0.0153
Sr 0.7587 0.8719 0.5153
Pr 0.2784 0.6233 0.5226
Pr 0.2784 0.8767 0.0226
Pr 0.7216 0.1233 0.9774
Pr 0.7216 0.3767 0.4774
Rh 0.4784 0.6246 0.2582
Rh 0.4784 0.8754 0.7582
Rh 0.5216 0.1246 0.2418
Rh 0.5216 0.3754 0.7418



[2]
Pr2TmTa2Rh5: calculated powder diffractogram (Cu Kα X-rays), based on the GGA-PBE geometry in Alexandria.
Peak positions follow from Bragg's law for the DFT cell and can differ from measured ones.

Most intense lines, 2θ from 10° to 90°, sorted by position:
| two_theta | Rel. int. |
| --- | --- |
| 34.3 | 279 |
| 34.9 | 251 |
| 35.3 | 196 |
| 36.9 | 1000 |
| 39.7 | 337 |
| 42.4 | 212 |

Structural model:
Cell lengths 10.7763, 10.7763, 3.4869 Å; angles 90.00, 90.00, 90.00 degrees
Fractional positions:
Pr 0.1750 0.3250 0.0000
Pr 0.3250 0.8250 0.0000
Pr 0.6750 0.1750 0.0000
Pr 0.8250 0.6750 0.0000
Tm 0.0000 0.0000 0.0000
Tm 0.5000 0.5000 0.0000
Ta 0.1290 0.6290 0.0000
Ta 0.3710 0.1290 0.0000
Ta 0.6290 0.8710 0.0000
Ta 0.8710 0.3710 0.0000
Rh 0.0000 0.5000 0.5000
Rh 0.0521 0.7896 0.5000
Rh 0.2104 0.0521 0.5000
Rh 0.2896 0.5521 0.5000
Rh 0.4479 0.2896 0.5000
Rh 0.5000 0.0000 0.5000
Rh 0.5521 0.7104 0.5000
Rh 0.7104 0.4479 0.5000
Rh 0.7896 0.9479 0.5000
Rh 0.9479 0.2104 0.5000



[3]
Pr2Th4Rh9: calculated powder diffractogram (Cu Kα X-rays), based on the GGA-PBE geometry in Alexandria.
Peak positions follow from Bragg's law for the DFT cell and can differ from measured ones.

Most intense lines, 2θ from 10° to 90°, sorted by position:
| two_theta | Rel. int. |
| --- | --- |
| 26.9 | 462 |
| 38.1 | 715 |
| 38.6 | 1000 |
| 55.4 | 241 |
| 69.6 | 243 |
| 69.9 | 175 |

Structural model:
Cell lengths 4.6625, 4.6625, 17.4400 Å; angles 90.00, 90.00, 120.00 degrees
Fractional positions:
Pr 0.3333 0.6667 0.2513
Pr 0.6667 0.3333 0.7487
Th 0.3333 0.6667 0.6007
Th 0.3333 0.6667 0.9062
Th 0.6667 0.3333 0.0938
Th 0.6667 0.3333 0.3993
Rh 0.0000 0.0000 0.0000
Rh 0.0000 0.0000 0.1661
Rh 0.0000 0.0000 0.3385
Rh 0.0000 0.0000 0.6615
Rh 0.0000 0.0000 0.8339
Rh 0.3333 0.6667 0.0790
Rh 0.3333 0.6667 0.4339
Rh 0.6667 0.3333 0.5661
Rh 0.6667 0.3333 0.9210



- Number 2 is which compound?
  Pr2TmTa2Rh5